Computed X-ray powder pattern
Compound: NaCr2F8
Radiation: λ = 1.5418 Å (Cu Kα)
Structure: a crystal structure in Alexandria, relaxed with GGA+U

Structural model:
```
data_NaCr2F8
_chemical_formula_sum 'Na1 Cr2 F8'
_cell_length_a 4.000
_cell_length_b 6.364
_cell_length_c 6.373
_cell_angle_alpha 69.95
_cell_angle_beta 89.82
_cell_angle_gamma 89.97
_space_group_name_H-M_alt 'P -1'
_space_group_IT_number 2
_space_group_name_Hall '-P 1'
loop_
_atom_site_label
_atom_site_type_symbol
_atom_site_fract_x
_atom_site_fract_y
_atom_site_fract_z
Na1 Na 0.000 0.000 0.000
Cr1 Cr 0.250 0.377 0.376
F1 F 0.249 0.147 0.645
F2 F 0.250 0.585 0.586
F3 F 0.251 0.646 0.148
F4 F 0.252 0.206 0.204
```

Most intense lines, 10° ≤ 2θ ≤ 80°, low angle first:
2θ/deg	intensity
14.81	100
24.38	44
26.82	74
28.10	60
34.37	24
45.18	27
45.36	26
47.97	22
49.96	25
58.19	17